No. 1
Diffraction record for PdF3. The XRD peak list is calculated, not measured: it uses a structure optimized by DFT (GGA-PBE) and Cu Kα (weighted mean of Kα1 and Kα2).
Neutral-atom scattering factors, no anomalous dispersion.

The 10 most intense peaks (2θ = 10–80°), in order of falling intensity:
22.58°, I 100, hkl 0 1 1
31.14°, I 27, hkl 1 0 2
50.57°, I 25, hkl 1 1 3
46.10°, I 19, hkl 0 2 2
33.12°, I 17, hkl 1 1 0
53.25°, I 17, hkl 1 2 1
57.93°, I 11, hkl 2 1 2
40.46°, I 8, hkl 2 0 1
59.17°, I 8, hkl 3 0 0
74.14°, I 8, hkl 3 1 1

Crystal structure
Lattice parameters (Å, degrees): 5.4091 5.4091 7.2709 90.00 90.00 120.00
Space group P321 (No. 150)
Asymmetric unit:
Pd (0.0000, 0.0000, 0.0000) (multiplicity 1)
Pd (0.3333, 0.6667, 0.3407) (multiplicity 2)
F (0.0000, 0.6137, 0.5000) (multiplicity 3)
F (0.0845, 0.3367, 0.1797) (multiplicity 6)

---

No. 2
Diffraction record for PdPt3F6. The XRD peak list is calculated, not measured: it uses a structure optimized by DFT (GGA-PBE) and Cu Kα (weighted mean of Kα1 and Kα2).
Neutral-atom scattering factors, no anomalous dispersion.

The 10 most intense peaks (2θ = 10–80°), in order of falling intensity:
11.16°, I 100, hkl 0 0 2
14.46°, I 23, hkl 0 1 -1
16.44°, I 17, hkl 0 1 1
22.44°, I 16, hkl 0 0 4
29.16°, I 11, hkl 0 2 -2
16.78°, I 10, hkl 0 0 3
29.10°, I 9, hkl 0 2 0
20.00°, I 8, hkl 0 1 -3
40.54°, I 7, hkl 2 0 2
18.53°, I 7, hkl 1 0 0

Crystal structure
Lattice parameters (Å, degrees): 5.006 6.499 16.164 99.56 93.09 105.94
Space group P-1 (No. 2)
Asymmetric unit:
Pd (0.000, 0.000, 0.000) (multiplicity 1)
Pt (0.000, 0.000, 0.500) (multiplicity 1)
Pt (0.000, 0.500, 0.000) (multiplicity 1)
Pt (0.500, 0.500, 0.000) (multiplicity 1)
F (0.042, 0.726, 0.927) (multiplicity 2)
F (0.074, 0.056, 0.617) (multiplicity 2)
F (0.374, 0.173, 0.968) (multiplicity 2)

---

No. 3
Diffraction record for PdPt3F6. The XRD peak list is calculated, not measured: it uses a structure optimized by DFT (GGA-PBE) and Cu Kα (weighted mean of Kα1 and Kα2).
Neutral-atom scattering factors, no anomalous dispersion.

The 10 most intense peaks (2θ = 10–80°), in order of falling intensity:
13.88°, I 100, hkl 0 0 2
20.15°, I 47, hkl 0 1 -1
40.08°, I 20, hkl 2 2 0
27.98°, I 14, hkl 0 0 4
19.14°, I 14, hkl 1 0 0
40.96°, I 14, hkl 0 2 -2
28.31°, I 13, hkl 0 1 -3
19.73°, I 12, hkl 1 1 0
38.83°, I 11, hkl 2 0 0
38.34°, I 10, hkl 0 2 0

Crystal structure
Lattice parameters (Å, degrees): 5.260 5.302 12.831 87.27 83.87 62.34
Space group P-1 (No. 2)
Asymmetric unit:
Pd (0.000, 0.000, 0.000) (multiplicity 1)
Pt (0.000, 0.000, 0.500) (multiplicity 1)
Pt (0.000, 0.500, 0.000) (multiplicity 1)
Pt (0.500, 0.500, 0.000) (multiplicity 1)
F (0.041, 0.494, 0.849) (multiplicity 2)
F (0.091, 0.928, 0.358) (multiplicity 2)
F (0.311, 0.826, 0.101) (multiplicity 2)